# 1
This entry pairs a crystal structure of TbPrSm5Th2 with its computed powder diffractogram. Radiation: λ = 1.5418 Å (Cu Kα). Structure: a cell relaxed with GGA-PBE.
No peak broadening, texture or thermal motion is included.

Atomic structure:
```
18
Lattice="-4.480 4.480 7.778 4.480 -4.480 7.778 4.480 4.480 -7.778" Properties=species:S:1:pos:R:3 pbc="T T T"
Tb 4.480 0.000 3.889
Tb 0.000 4.480 3.889
Pr 0.000 0.000 3.889
Pr 0.000 0.000 11.667
Sm 0.000 0.000 0.000
Sm 6.342 1.862 -2.134
Sm 1.862 2.617 -2.134
Sm 6.342 1.862 2.134
Sm 1.862 2.617 2.134
Sm 0.000 0.000 7.778
Sm 2.617 1.862 5.644
Sm -1.862 2.617 5.644
Sm 2.617 1.862 9.912
Sm -1.862 2.617 9.912
Th 3.416 1.064 0.000
Th 3.416 -1.064 7.778
Th 1.064 5.543 0.000
Th 1.064 3.416 7.778
```

Largest 10 diffraction maxima, sorted by position, 2θ = 15–90°:
| two_theta | Rel. int. |
| --- | --- |
| 28.16 | 100.0 |
| 30.44 | 81.5 |
| 31.58 | 14.9 |
| 33.67 | 15.4 |
| 36.60 | 41.0 |
| 41.98 | 23.4 |
| 46.74 | 17.6 |
| 51.30 | 17.3 |
| 55.46 | 19.5 |
| 63.43 | 16.6 |

---

# 2
This entry pairs a crystal structure of Er3AlC3 with its computed powder diffractogram. Radiation: λ = 1.5418 Å (Cu Kα). Structure: a cell relaxed with GGA-PBE.
No peak broadening, texture or thermal motion is included.

Atomic structure:
```
14
Lattice="4.406 -5.183 0.000 4.406 5.183 0.000 0.000 0.000 5.045" Properties=species:S:1:pos:R:3 pbc="T T T"
Er 4.406 4.068 3.784
Er 2.355 1.266 3.784
Er 2.355 -1.266 1.261
Er 6.456 1.266 3.784
Er 6.456 -1.266 1.261
Er 4.406 -4.068 1.261
Al 4.406 1.936 1.261
Al 4.406 -1.936 3.784
C 4.406 3.985 1.261
C 2.499 1.296 1.261
C 2.499 -1.296 3.784
C 6.313 1.296 1.261
C 6.313 -1.296 3.784
C 4.406 -3.985 3.784
```

Largest 10 diffraction maxima, sorted by position, 2θ = 15–90°:
| two_theta | Rel. int. |
| --- | --- |
| 32.02 | 100.0 |
| 33.02 | 12.4 |
| 34.61 | 23.9 |
| 35.59 | 26.1 |
| 40.97 | 15.2 |
| 50.49 | 16.2 |
| 55.37 | 12.5 |
| 60.40 | 12.5 |
| 61.69 | 16.0 |
| 66.97 | 11.8 |

---

# 3
This entry pairs a crystal structure of Lu2SiO5 with its computed powder diffractogram. Radiation: λ = 1.5418 Å (Cu Kα). Structure: a cell relaxed with GGA-PBE.
No peak broadening, texture or thermal motion is included.

Atomic structure:
```
32
Lattice="9.121 0.000 0.000 0.000 6.607 0.000 -1.178 0.000 6.581" Properties=species:S:1:pos:R:3 pbc="T T T"
Lu 0.075 0.774 1.472
Lu -0.514 2.529 4.762
Lu 2.038 0.938 6.496
Lu 2.627 2.365 3.205
Lu 5.317 4.242 3.376
Lu 5.905 5.669 0.085
Lu 8.458 4.078 1.819
Lu 7.869 5.833 5.109
Si 1.554 3.956 6.476
Si 2.143 5.955 3.186
Si 5.801 0.652 3.395
Si 6.390 2.651 0.105
O -0.118 0.813 6.058
O 0.471 2.491 2.768
O -0.078 4.287 6.297
O 0.511 5.624 3.006
O 2.319 0.403 1.892
O 1.730 2.901 5.183
O 2.384 0.431 4.387
O 2.973 2.872 1.096
O 3.085 4.627 3.247
O 2.496 5.283 6.537
O 5.448 1.324 0.044
O 4.859 1.980 3.334
O 4.971 3.735 5.485
O 5.560 6.176 2.194
O 6.213 3.706 1.398
O 5.625 6.204 4.689
O 7.433 0.983 3.575
O 8.022 2.320 0.284
O 7.473 4.116 3.813
O 8.062 5.794 0.523
```

Largest 10 diffraction maxima, sorted by position, 2θ = 15–90°:
| two_theta | Rel. int. |
| --- | --- |
| 16.66 | 61.5 |
| 19.03 | 31.3 |
| 27.17 | 56.6 |
| 29.85 | 61.0 |
| 30.54 | 26.8 |
| 32.67 | 100.0 |
| 33.49 | 24.6 |
| 33.66 | 28.0 |
| 35.03 | 50.7 |
| 55.61 | 24.9 |

---

# 4
This entry pairs a crystal structure of Ca6ZnPd with its computed powder diffractogram. Radiation: λ = 1.5418 Å (Cu Kα). Structure: a cell relaxed with GGA-PBE.
No peak broadening, texture or thermal motion is included.

Atomic structure:
```
8
Lattice="6.111 0.000 0.000 2.225 6.000 0.000 0.658 -0.163 7.256" Properties=species:S:1:pos:R:3 pbc="T T T"
Ca 1.391 2.332 1.756
Ca 4.109 5.758 4.694
Ca 4.334 4.530 0.988
Ca 4.659 1.307 6.268
Ca 4.884 0.079 2.562
Ca 7.603 3.505 5.499
Zn 4.497 2.919 3.628
Pd 0.000 0.000 0.000
```

Largest 10 diffraction maxima, sorted by position, 2θ = 15–90°:
| two_theta | Rel. int. |
| --- | --- |
| 17.32 | 41.9 |
| 18.88 | 30.1 |
| 18.98 | 23.8 |
| 19.41 | 24.5 |
| 27.10 | 27.4 |
| 30.68 | 66.2 |
| 31.11 | 100.0 |
| 40.38 | 22.5 |
| 40.53 | 29.9 |
| 47.77 | 25.7 |

---

# 5
This entry pairs a crystal structure of BaCd5 with its computed powder diffractogram. Radiation: λ = 1.5418 Å (Cu Kα). Structure: a cell relaxed with GGA-PBE.
No peak broadening, texture or thermal motion is included.

Atomic structure:
```
6
Lattice="3.884 0.000 0.000 0.000 3.884 0.000 0.000 0.000 11.005" Properties=species:S:1:pos:R:3 pbc="T T T"
Ba 0.000 0.000 0.000
Cd 0.000 0.000 3.910
Cd 0.000 0.000 7.095
Cd 1.942 1.942 2.383
Cd 1.942 1.942 5.502
Cd 1.942 1.942 8.622
```

Largest 10 diffraction maxima, sorted by position, 2θ = 15–90°:
| two_theta | Rel. int. |
| --- | --- |
| 28.12 | 13.0 |
| 32.60 | 78.8 |
| 33.60 | 100.0 |
| 40.17 | 19.5 |
| 46.77 | 31.2 |
| 58.81 | 39.9 |
| 63.32 | 9.4 |
| 68.30 | 8.4 |
| 77.75 | 11.6 |
| 78.31 | 8.2 |

---

# 6
This entry pairs a crystal structure of NbGa2Pb2 with its computed powder diffractogram. Radiation: λ = 1.5418 Å (Cu Kα). Structure: a cell relaxed with GGA-PBE.
No peak broadening, texture or thermal motion is included.

Atomic structure:
```
10
Lattice="3.628 0.000 0.000 0.000 3.628 0.000 0.000 0.000 18.442" Properties=species:S:1:pos:R:3 pbc="T T T"
Nb 0.000 0.000 0.000
Nb 1.814 1.814 9.221
Ga 0.000 1.814 4.611
Ga 0.000 1.814 13.832
Ga 1.814 0.000 4.611
Ga 1.814 0.000 13.832
Pb 0.000 0.000 7.472
Pb 0.000 0.000 10.971
Pb 1.814 1.814 1.749
Pb 1.814 1.814 16.693
```

Largest 10 diffraction maxima, sorted by position, 2θ = 15–90°:
| two_theta | Rel. int. |
| --- | --- |
| 25.01 | 52.7 |
| 28.57 | 22.6 |
| 29.05 | 28.1 |
| 34.68 | 100.0 |
| 34.98 | 25.1 |
| 36.35 | 54.7 |
| 40.23 | 32.8 |
| 50.30 | 29.9 |
| 61.97 | 29.9 |
| 62.54 | 37.1 |

---

# 7
This entry pairs a crystal structure of In with its computed powder diffractogram. Radiation: λ = 1.5418 Å (Cu Kα). Structure: a cell relaxed with GGA-PBE.
No peak broadening, texture or thermal motion is included.

Atomic structure:
```
12
Lattice="8.539 0.000 0.000 -4.269 7.395 0.000 0.000 0.000 5.550" Properties=species:S:1:pos:R:3 pbc="T T T"
In -2.891 6.043 1.387
In -1.785 4.467 4.162
In 0.482 1.870 1.387
In 1.860 0.518 4.162
In 1.293 3.616 4.162
In 3.778 0.688 1.387
In 0.491 6.707 4.162
In 2.976 3.779 1.387
In 2.409 6.877 1.387
In 3.788 5.525 4.162
In 6.054 2.928 1.387
In 7.160 1.352 4.162
```

Largest 10 diffraction maxima, sorted by position, 2θ = 15–90°:
| two_theta | Rel. int. |
| --- | --- |
| 20.00 | 9.8 |
| 29.02 | 14.8 |
| 32.02 | 23.0 |
| 32.26 | 31.5 |
| 35.98 | 100.0 |
| 46.10 | 16.3 |
| 57.08 | 17.3 |
| 59.97 | 21.7 |
| 67.10 | 20.9 |
| 69.34 | 12.5 |